Entry 1:
Starting from the PBE geometry in Alexandria, the PXRD pattern of K2Ge was computed for Cu Kα.
No peak broadening, texture or thermal motion is included.

Atomic structure:
Cell lengths 5.4095, 4.1776, 12.1980 Å; angles 90.00, 102.88, 90.00 degrees
Atoms (fractional coordinates):
K 0.0717 0.0000 0.1425
K 0.3160 0.0029 0.6324
K 0.6840 0.5029 0.3676
K 0.9283 0.5000 0.8575
Ge 0.4683 0.9992 0.9387
Ge 0.5317 0.4992 0.0613

Main lines, low angle first (2θ = 10–90°):
16.8 deg, I = 64; 24.9 deg, I = 100; 27.2 deg, I = 71; 29.3 deg, I = 56; 31.1 deg, I = 41; 33.0 deg, I = 47; 33.1 deg, I = 53; 37.1 deg, I = 31; 38.0 deg, I = 75; 50.6 deg, I = 50

Entry 2:
Starting from the PBE geometry in Alexandria, the PXRD pattern of LaSb2Rh was computed for Cu Kα.
No peak broadening, texture or thermal motion is included.

Atomic structure:
Cell lengths 4.4682, 4.4682, 20.3383 Å; angles 90.00, 90.00, 90.00 degrees
Atoms (fractional coordinates):
La 0.0000 0.0000 0.1239
La 0.0000 0.0000 0.8761
La 0.5000 0.5000 0.3761
La 0.5000 0.5000 0.6239
Sb 0.0000 0.0000 0.3214
Sb 0.0000 0.0000 0.6786
Sb 0.0000 0.5000 0.0000
Sb 0.0000 0.5000 0.5000
Sb 0.5000 0.0000 0.0000
Sb 0.5000 0.0000 0.5000
Sb 0.5000 0.5000 0.1786
Sb 0.5000 0.5000 0.8214
Rh 0.0000 0.5000 0.2500
Rh 0.0000 0.5000 0.7500
Rh 0.5000 0.0000 0.2500
Rh 0.5000 0.0000 0.7500

Main lines, low angle first (2θ = 10–90°):
29.7 deg, I = 41; 33.4 deg, I = 100; 35.3 deg, I = 9; 40.4 deg, I = 45; 45.0 deg, I = 11; 45.8 deg, I = 11; 50.9 deg, I = 15; 54.7 deg, I = 10; 58.4 deg, I = 15; 69.0 deg, I = 24

Entry 3:
Starting from the PBE geometry in Alexandria, the PXRD pattern of NbBiO4 was computed for Cu Kα.
No peak broadening, texture or thermal motion is included.

Atomic structure:
Cell lengths 5.5749, 7.7701, 8.0409 Å; angles 101.18, 90.14, 92.69 degrees
Atoms (fractional coordinates):
Nb 0.2206 0.3457 0.1760
Nb 0.2477 0.3274 0.6763
Nb 0.7523 0.6726 0.3237
Nb 0.7794 0.6543 0.8240
Bi 0.2353 0.8786 0.1269
Bi 0.2874 0.8336 0.6278
Bi 0.7126 0.1664 0.3722
Bi 0.7647 0.1214 0.8731
O 0.0040 0.8945 0.8216
O 0.0406 0.8229 0.3640
O 0.0840 0.5565 0.7195
O 0.1435 0.3235 0.9459
O 0.3155 0.3293 0.4492
O 0.4346 0.5474 0.2110
O 0.4439 0.1087 0.6803
O 0.4640 0.1589 0.1406
O 0.5360 0.8411 0.8594
O 0.5561 0.8913 0.3197
O 0.5654 0.4526 0.7890
O 0.6845 0.6707 0.5508
O 0.8565 0.6765 0.0541
O 0.9160 0.4435 0.2805
O 0.9594 0.1771 0.6360
O 0.9960 0.1055 0.1784

Main lines, low angle first (2θ = 10–90°):
11.6 deg, I = 46; 27.6 deg, I = 94; 27.7 deg, I = 93; 27.9 deg, I = 100; 29.0 deg, I = 89; 29.3 deg, I = 49; 32.1 deg, I = 55; 35.8 deg, I = 34; 47.8 deg, I = 35; 49.9 deg, I = 35

Entry 4:
Starting from the PBE geometry in Alexandria, the PXRD pattern of SrMnTl2S4 was computed for Cu Kα.
No peak broadening, texture or thermal motion is included.

Atomic structure:
Cell lengths 8.3959, 9.1758, 6.0380 Å; angles 90.00, 90.00, 90.00 degrees
Atoms (fractional coordinates):
Sr 0.0000 0.0899 0.0000
Sr 0.5000 0.9101 0.5000
Mn 0.0000 0.8101 0.4344
Mn 0.5000 0.1899 0.9344
Tl 0.2018 0.3561 0.5132
Tl 0.2982 0.6439 0.0132
Tl 0.7018 0.6439 0.0132
Tl 0.7982 0.3561 0.5132
S 0.0000 0.0496 0.5026
S 0.0000 0.7767 0.0759
S 0.2286 0.7038 0.5192
S 0.2714 0.2962 0.0192
S 0.5000 0.2233 0.5759
S 0.5000 0.9504 0.0026
S 0.7286 0.2962 0.0192
S 0.7714 0.7038 0.5192

Main lines, low angle first (2θ = 10–90°):
17.6 deg, I = 43; 23.3 deg, I = 76; 24.4 deg, I = 100; 27.6 deg, I = 49; 29.6 deg, I = 68; 35.3 deg, I = 29; 36.3 deg, I = 31; 38.0 deg, I = 39; 47.5 deg, I = 28; 56.9 deg, I = 23

Entry 5:
Starting from the PBE geometry in Alexandria, the PXRD pattern of LiPrIn4Ir2 was computed for Cu Kα.
No peak broadening, texture or thermal motion is included.

Atomic structure:
Cell lengths 9.4296, 9.4296, 9.4296 Å; angles 28.25, 28.25, 28.25 degrees
Atoms (fractional coordinates):
Li 0.0000 0.0000 0.0000
Pr 0.5000 0.5000 0.5000
In 0.1013 0.1013 0.1013
In 0.3684 0.3684 0.3684
In 0.6316 0.6316 0.6316
In 0.8987 0.8987 0.8987
Ir 0.2640 0.2640 0.2640
Ir 0.7360 0.7360 0.7360

Main lines, low angle first (2θ = 10–90°):
19.6 deg, I = 18; 27.8 deg, I = 41; 34.7 deg, I = 78; 39.1 deg, I = 100; 43.1 deg, I = 25; 44.2 deg, I = 13; 49.3 deg, I = 14; 53.3 deg, I = 23; 68.1 deg, I = 22; 70.9 deg, I = 17

Entry 6:
Starting from the PBE geometry in Alexandria, the PXRD pattern of SrLaO4 was computed for Cu Kα.
No peak broadening, texture or thermal motion is included.

Atomic structure:
Cell lengths 7.0463, 4.1011, 7.0386 Å; angles 90.00, 96.74, 90.00 degrees
Atoms (fractional coordinates):
Sr 0.0000 0.0000 0.0000
Sr 0.5000 0.5000 0.0000
La 0.3824 0.0000 0.4203
La 0.8824 0.5000 0.4203
O 0.0430 0.0000 0.3758
O 0.1176 0.5000 0.7634
O 0.2692 0.5000 0.6590
O 0.3462 0.0000 0.0965
O 0.5430 0.5000 0.3758
O 0.6176 0.0000 0.7634
O 0.7692 0.0000 0.6590
O 0.8462 0.5000 0.0965

Main lines, low angle first (2θ = 10–90°):
12.7 deg, I = 24; 25.5 deg, I = 61; 27.6 deg, I = 100; 29.0 deg, I = 22; 29.9 deg, I = 28; 37.2 deg, I = 27; 44.2 deg, I = 20; 44.7 deg, I = 26; 45.3 deg, I = 39; 51.7 deg, I = 18

Entry 7:
Starting from the PBE geometry in Alexandria, the PXRD pattern of Cu3NiPd4 was computed for Cu Kα.
No peak broadening, texture or thermal motion is included.

Atomic structure:
Cell lengths 8.4918, 6.0591, 4.2453 Å; angles 90.00, 90.00, 90.00 degrees
Atoms (fractional coordinates):
Cu 0.0000 0.0000 0.0000
Cu 0.2500 0.0000 0.4977
Cu 0.2500 0.5000 0.4977
Cu 0.5000 0.0000 0.0000
Cu 0.7500 0.0000 0.5023
Cu 0.7500 0.5000 0.5023
Ni 0.0000 0.5000 0.0000
Ni 0.5000 0.5000 0.0000
Pd 0.0000 0.2519 0.5000
Pd 0.0000 0.7481 0.5000
Pd 0.2500 0.2518 0.9980
Pd 0.2500 0.7482 0.9980
Pd 0.5000 0.2519 0.5000
Pd 0.5000 0.7481 0.5000
Pd 0.7500 0.2518 0.0020
Pd 0.7500 0.7482 0.0020

Main lines, low angle first (2θ = 10–90°):
29.5 deg, I = 3; 29.8 deg, I = 7; 42.4 deg, I = 100; 42.6 deg, I = 49; 52.6 deg, I = 3; 61.2 deg, I = 8; 61.8 deg, I = 16; 69.5 deg, I = 1; 77.4 deg, I = 16; 77.8 deg, I = 31